MgCo2As: calculated X-ray diffraction stick pattern (λ = 1.5418 Å (Cu Kα)), based on a cell relaxed with GGA-PBE.

The 10 most intense peaks (2θ = 5–70°), by angle:
17.03°, rel. 56; 32.48°, rel. 39; 40.76°, rel. 52; 40.82°, rel. 75; 42.33°, rel. 100; 48.13°, rel. 36; 48.79°, rel. 35; 54.84°, rel. 10; 59.84°, rel. 13; 65.41°, rel. 24

Atomic structure:
```
MgCo2As
1.0
2.8513 0.0000 0.0000
0.0000 3.7330 0.0000
-1.3760 0.0000 5.2055
Mg Co As
1 2 1
Cartesian
0.0000 0.0000 0.0000 Mg
0.0461 1.8665 3.7626 Co
1.4292 1.8665 1.4429 Co
0.7377 0.0000 2.6027 As
```

***

Ho6Cd2Rh: calculated X-ray diffraction stick pattern (λ = 1.5418 Å (Cu Kα)), based on a cell relaxed with GGA-PBE.

The 10 most intense peaks (2θ = 5–70°), by angle:
28.86°, rel. 39; 29.16°, rel. 55; 30.00°, rel. 57; 30.13°, rel. 100; 30.96°, rel. 29; 31.32°, rel. 28; 34.80°, rel. 57; 35.88°, rel. 48; 39.48°, rel. 30; 53.52°, rel. 32

Atomic structure:
```
Ho6Cd2Rh
1.0
6.9170 0.0000 0.0000
0.0000 7.2526 0.0000
-6.7913 0.0000 10.3131
Ho Cd Rh
12 4 2
Cartesian
-0.6449 0.0171 2.5425 Ho
-4.0405 3.6092 7.6990 Ho
1.2461 5.0804 0.4008 Ho
-2.1496 5.7985 5.5574 Ho
2.0976 1.3638 0.4467 Ho
-1.2981 2.2625 5.6032 Ho
1.4238 4.9901 4.7099 Ho
-1.9719 5.8888 9.8664 Ho
2.2753 1.4541 4.7557 Ho
-1.1203 2.1722 9.9123 Ho
4.1662 3.6434 2.6141 Ho
0.7706 7.2355 7.7706 Ho
-3.0906 0.6011 7.7370 Cd
0.3050 3.0252 2.5804 Cd
-0.1793 4.2273 7.7327 Cd
3.2163 6.6515 2.5761 Cd
0.0629 0.0000 5.1566 Rh
3.4585 3.6263 0.0000 Rh
```

***

Cs3Ce2ZrSe6: calculated X-ray diffraction stick pattern (λ = 1.5418 Å (Cu Kα)), based on a cell relaxed with GGA-PBE.

The 10 most intense peaks (2θ = 5–70°), by angle:
21.14°, rel. 9; 25.07°, rel. 9; 27.95°, rel. 100; 37.47°, rel. 33; 42.29°, rel. 35; 43.42°, rel. 9; 51.46°, rel. 17; 57.76°, rel. 9; 61.92°, rel. 9; 68.72°, rel. 14

Atomic structure:
```
Cs3Ce2ZrSe6
1.0
3.7014 -6.4122 0.0000
3.7014 6.4122 0.0000
-2.4693 0.0000 8.4066
Cs Ce Zr Se
3 2 1 6
Cartesian
0.0000 0.0000 0.0000 Cs
3.7014 2.1686 0.0000 Cs
3.7014 -2.1686 0.0000 Cs
2.4667 4.2784 4.2033 Ce
2.4667 -4.2784 4.2033 Ce
2.4667 0.0000 4.2033 Zr
1.3018 2.0182 2.6337 Se
0.1383 0.0000 5.7839 Se
1.3018 -2.0182 2.6337 Se
3.6316 2.0182 5.7729 Se
4.7951 0.0000 2.6227 Se
3.6316 -2.0182 5.7729 Se
```

***

Pr3Y2Hg2: calculated X-ray diffraction stick pattern (λ = 1.5418 Å (Cu Kα)), based on a cell relaxed with GGA-PBE.

The 10 most intense peaks (2θ = 5–70°), by angle:
20.00°, rel. 15; 31.86°, rel. 90; 32.52°, rel. 100; 46.17°, rel. 32; 47.12°, rel. 9; 56.35°, rel. 12; 57.61°, rel. 33; 58.03°, rel. 19; 66.59°, rel. 7; 68.12°, rel. 12

Atomic structure:
```
Pr3Y2Hg2
1.0
9.5298 0.0000 0.0000
0.0000 5.5100 0.0000
-3.1785 0.0000 8.1097
Pr Y Hg
6 4 4
Cartesian
0.0000 0.0000 0.0000 Pr
-0.0009 0.0000 3.8739 Pr
1.5873 2.7550 4.2358 Pr
4.7649 2.7550 0.0000 Pr
4.7640 2.7550 3.8739 Pr
6.3522 0.0000 4.2358 Pr
-1.5893 2.7550 5.8752 Y
3.1757 0.0000 2.2345 Y
3.1756 0.0000 5.8752 Y
7.9406 2.7550 2.2345 Y
1.5893 2.7550 1.0823 Hg
-0.0029 0.0000 7.0274 Hg
6.3542 0.0000 1.0823 Hg
4.7620 2.7550 7.0274 Hg
```

***

MgIn: calculated X-ray diffraction stick pattern (λ = 1.5418 Å (Cu Kα)), based on a cell relaxed with GGA-PBE.

The 10 most intense peaks (2θ = 5–70°), by angle:
11.22°, rel. 74; 25.25°, rel. 86; 28.52°, rel. 100; 32.09°, rel. 49; 36.01°, rel. 78; 36.66°, rel. 34; 40.18°, rel. 62; 43.46°, rel. 58; 49.50°, rel. 33; 67.55°, rel. 32

Atomic structure:
```
MgIn
1.0
11.1552 0.0000 0.0000
0.0000 11.1552 0.0000
0.0000 0.0000 3.2606
Mg In
8 8
Cartesian
1.1245 7.1217 0.0000 Mg
1.5441 4.4531 1.6303 Mg
4.0335 1.1245 0.0000 Mg
4.4531 9.6111 1.6303 Mg
6.7021 1.5441 1.6303 Mg
7.1217 10.0307 0.0000 Mg
9.6111 6.7021 1.6303 Mg
10.0307 4.0335 0.0000 Mg
1.0619 1.8895 0.0000 In
1.8895 10.0933 0.0000 In
3.6881 6.6395 1.6303 In
4.5157 3.6881 1.6303 In
6.6395 7.4671 1.6303 In
7.4671 4.5157 1.6303 In
9.2657 1.0619 0.0000 In
10.0933 9.2657 0.0000 In
```

***

Nd5HoTm5: calculated X-ray diffraction stick pattern (λ = 1.5418 Å (Cu Kα)), based on a cell relaxed with GGA-PBE.

The 10 most intense peaks (2θ = 5–70°), by angle:
27.30°, rel. 22; 28.42°, rel. 16; 29.56°, rel. 19; 29.94°, rel. 18; 30.06°, rel. 57; 30.57°, rel. 31; 33.31°, rel. 100; 43.40°, rel. 24; 55.48°, rel. 24; 61.20°, rel. 15

Atomic structure:
```
Nd5HoTm5
1.0
9.4469 -2.9727 0.0000
9.4469 2.9727 0.0000
-2.6092 0.0000 6.5383
Nd Ho Tm
5 1 5
Cartesian
0.0000 0.0000 0.0000 Nd
5.9376 0.0000 0.4432 Nd
4.6046 0.0000 3.7852 Nd
11.6799 0.0000 2.7531 Nd
10.3469 0.0000 6.0951 Nd
9.4469 0.0000 0.0000 Ho
0.6654 0.0000 4.0672 Tm
2.7399 0.0000 1.1062 Tm
8.1423 0.0000 3.2691 Tm
13.5446 0.0000 5.4320 Tm
15.6192 0.0000 2.4711 Tm
```

***

NaSn5: calculated X-ray diffraction stick pattern (λ = 1.5418 Å (Cu Kα)), based on a cell relaxed with GGA-PBE.

The 10 most intense peaks (2θ = 5–70°), by angle:
17.06°, rel. 32; 22.03°, rel. 57; 28.12°, rel. 56; 29.66°, rel. 100; 30.14°, rel. 29; 31.24°, rel. 26; 39.82°, rel. 38; 41.51°, rel. 71; 44.93°, rel. 37; 66.10°, rel. 35

Atomic structure:
```
NaSn5
1.0
6.4027 0.0000 0.0000
0.0000 6.4027 0.0000
0.0000 0.0000 8.8957
Na Sn
2 10
Cartesian
0.0000 3.2014 1.8354 Na
3.2014 0.0000 7.0603 Na
0.0000 0.0000 0.0000 Sn
1.0092 2.1921 7.2505 Sn
1.5898 4.7912 4.4687 Sn
1.6115 1.5898 4.4270 Sn
2.1921 5.3935 1.6452 Sn
3.2014 3.2014 0.0000 Sn
4.2106 1.0092 1.6452 Sn
4.7912 4.8129 4.4270 Sn
4.8129 1.6115 4.4687 Sn
5.3935 4.2106 7.2505 Sn
```

***

Y6Co2P: calculated X-ray diffraction stick pattern (λ = 1.5418 Å (Cu Kα)), based on a cell relaxed with GGA-PBE.

The 10 most intense peaks (2θ = 5–70°), by angle:
31.70°, rel. 100; 34.52°, rel. 58; 35.73°, rel. 45; 40.71°, rel. 28; 41.99°, rel. 13; 43.46°, rel. 21; 54.42°, rel. 13; 57.48°, rel. 22; 61.06°, rel. 16; 65.13°, rel. 23

Atomic structure:
```
Y6Co2P
1.0
7.6768 0.0000 0.0000
-3.8384 6.6483 0.0000
0.0000 0.0000 4.1646
Y Co P
6 2 1
Cartesian
-1.0111 1.7512 0.0000 Y
-2.2837 3.9555 2.0823 Y
2.0222 0.0000 0.0000 Y
1.5547 2.6928 2.0823 Y
4.5674 0.0000 2.0823 Y
2.8273 4.8971 0.0000 Y
0.0000 4.4322 0.0000 Co
3.8384 2.2161 0.0000 Co
0.0000 0.0000 2.0823 P
```

***

SrTeP2: calculated X-ray diffraction stick pattern (λ = 1.5418 Å (Cu Kα)), based on a cell relaxed with GGA-PBE.

The 10 most intense peaks (2θ = 5–70°), by angle:
15.45°, rel. 100; 30.73°, rel. 43; 31.11°, rel. 89; 31.18°, rel. 66; 32.83°, rel. 97; 36.83°, rel. 73; 41.24°, rel. 25; 53.74°, rel. 34; 61.86°, rel. 23; 64.80°, rel. 24

Atomic structure:
```
SrTeP2
1.0
11.7805 0.0000 0.0000
0.0000 3.3257 0.0000
-1.3543 0.0000 5.8184
Sr Te P
2 2 4
Cartesian
0.0000 0.0000 0.0000 Sr
5.8903 1.6629 0.0000 Sr
-0.6772 1.6629 2.9092 Te
5.2131 0.0000 2.9092 Te
2.7333 1.6629 0.6879 P
1.8026 0.0000 5.1305 P
8.6236 0.0000 0.6879 P
7.6929 1.6629 5.1305 P
```

***

TlRuO4: calculated X-ray diffraction stick pattern (λ = 1.5418 Å (Cu Kα)), based on a cell relaxed with GGA-PBE.

The 10 most intense peaks (2θ = 5–70°), by angle:
22.32°, rel. 41; 23.98°, rel. 65; 24.35°, rel. 36; 26.50°, rel. 100; 28.28°, rel. 43; 28.55°, rel. 47; 37.87°, rel. 29; 38.09°, rel. 26; 40.75°, rel. 35; 50.51°, rel. 25

Atomic structure:
```
TlRuO4
1.0
9.2206 0.0000 0.0000
0.0000 6.2521 0.0000
0.0000 0.0000 7.9651
Tl Ru O
4 4 16
Cartesian
1.7273 1.5630 1.4123 Tl
2.8830 4.6891 5.3949 Tl
6.3376 1.5630 2.5703 Tl
7.4934 4.6891 6.5528 Tl
0.4869 1.5630 5.4599 Ru
4.1234 4.6891 1.4773 Ru
5.0972 1.5630 6.4878 Ru
8.7337 4.6891 2.5052 Ru
0.6630 0.1040 6.4261 O
0.6630 3.0220 6.4261 O
1.1180 4.6891 3.2111 O
1.7151 1.5630 4.2095 O
2.8952 4.6891 0.2270 O
3.4923 1.5630 7.1936 O
3.9473 3.2301 2.4436 O
3.9473 6.1480 2.4436 O
5.2734 0.1040 5.5216 O
5.2734 3.0220 5.5216 O
5.7283 4.6891 0.7715 O
6.3254 1.5630 7.7382 O
7.5055 4.6891 3.7556 O
8.1026 1.5630 4.7541 O
8.5576 3.2301 1.5390 O
8.5576 6.1480 1.5390 O
```

***

In16Ga12Ge: calculated X-ray diffraction stick pattern (λ = 1.5418 Å (Cu Kα)), based on a cell relaxed with GGA-PBE.

The 10 most intense peaks (2θ = 5–70°), by angle:
31.71°, rel. 100; 31.83°, rel. 52; 31.96°, rel. 61; 32.40°, rel. 46; 34.17°, rel. 29; 34.58°, rel. 47; 34.98°, rel. 57; 36.14°, rel. 42; 36.98°, rel. 80; 39.29°, rel. 38

Atomic structure:
```
In16Ga12Ge
1.0
5.7403 -7.1598 0.0000
5.7403 7.1598 0.0000
-3.7397 0.0000 8.4353
In Ga Ge
16 12 1
Cartesian
0.0000 0.0000 0.0000 In
2.1901 4.3813 3.4732 In
3.6463 4.3439 0.2031 In
1.8088 0.0000 3.0810 In
0.4570 0.0000 6.5856 In
2.8970 1.8612 5.6061 In
4.4596 2.0370 2.9477 In
5.3673 4.3145 5.3889 In
6.0150 1.6869 0.2645 In
2.8970 -1.8612 5.6061 In
3.6463 -4.3439 0.2031 In
2.1901 -4.3813 3.4732 In
4.4596 -2.0370 2.9477 In
6.0150 -1.6869 0.2645 In
5.3673 -4.3145 5.3889 In
9.0789 0.0000 5.3013 In
4.8131 5.7392 2.8693 Ga
2.8666 1.3974 0.4081 Ga
2.8879 4.4712 7.0737 Ga
6.5479 4.3221 1.4538 Ga
2.8666 -1.3974 0.4081 Ga
6.3725 1.5650 5.8477 Ga
4.5871 0.0000 7.2482 Ga
8.4529 0.0000 1.5972 Ga
2.8879 -4.4712 7.0737 Ga
6.3725 -1.5650 5.8477 Ga
6.5479 -4.3221 1.4538 Ga
4.8131 -5.7392 2.8693 Ga
6.4787 0.0000 3.5195 Ge
```